# 1
This entry pairs a crystal structure of H4Pd3 with its simulated PXRD pattern. Radiation: a wavelength of 1.5418 Å. Structure: a crystal structure in the Materials Project, relaxed with GGA-PBE.

```
H4Pd3
1.0
3.099 0.000 0.000
0.000 3.099 0.000
0.000 0.000 6.691
H Pd
4 3
direct
0.000 0.500 0.000 H
0.000 0.500 0.450 H
0.500 0.000 0.000 H
0.500 0.000 0.450 H
0.000 0.000 0.290 Pd
0.000 0.000 0.879 Pd
0.500 0.500 0.597 Pd
```

Principal peaks in the range 2θ from 10° to 90°, in order of falling intensity:
d 2.274, I 100, (1 0 2); d 2.812, I 61, (1 0 1); d 2.192, I 54, (1 1 0); d 1.281, I 31, (2 1 2); d 1.563, I 26, (1 1 3); d 2.230, I 20, (0 0 3); d 1.550, I 19, (2 0 0); d 3.099, I 17, (1 0 0); d 1.229, I 16, (1 0 5); d 1.273, I 13, (2 0 3)

# 2
This entry pairs a crystal structure of HPd with its simulated PXRD pattern. Radiation: a wavelength of 1.5418 Å. Structure: a crystal structure in the Materials Project, relaxed with GGA-PBE.

```
HPd
1.0
2.968 0.000 0.000
-1.484 2.570 0.000
0.000 0.000 5.041
H Pd
2 2
direct
0.333 0.667 0.000 H
0.667 0.333 0.500 H
0.333 0.667 0.361 Pd
0.667 0.333 0.861 Pd
```

Principal peaks in the range 2θ from 10° to 90°, in order of falling intensity:
d 2.290, I 100, (1 0 1); d 2.520, I 30, (0 0 2); d 2.570, I 24, (1 0 0); d 1.406, I 21, (1 0 3); d 1.279, I 20, (1 1 2); d 1.484, I 17, (1 1 0); d 1.800, I 16, (1 0 2); d 1.245, I 14, (2 0 1); d 1.145, I 4, (2 0 2); d 1.132, I 3, (1 0 4)

# 3
This entry pairs a crystal structure of HPd3 with its simulated PXRD pattern. Radiation: a wavelength of 1.5418 Å. Structure: a crystal structure in the Materials Project, relaxed with GGA-PBE.

```
HPd3
1.0
3.933 0.000 0.000
0.000 3.933 0.000
0.000 0.000 7.041
H Pd
2 6
direct
0.000 0.000 0.000 H
0.500 0.500 0.500 H
0.000 0.000 0.500 Pd
0.000 0.500 0.250 Pd
0.000 0.500 0.750 Pd
0.500 0.000 0.250 Pd
0.500 0.000 0.750 Pd
0.500 0.500 0.000 Pd
```

Principal peaks in the range 2θ from 10° to 90°, in order of falling intensity:
d 2.182, I 100, (1 1 2); d 3.434, I 38, (1 0 1); d 1.967, I 36, (2 0 0); d 1.173, I 26, (3 1 2); d 1.312, I 19, (2 0 4); d 1.760, I 13, (0 0 4); d 1.391, I 11, (2 2 0); d 2.781, I 11, (1 1 0); d 1.091, I 11, (2 2 4); d 3.521, I 10, (0 0 2)

# 4
This entry pairs a crystal structure of Rb2H4Pd with its simulated PXRD pattern. Radiation: a wavelength of 1.5418 Å. Structure: a crystal structure in the Materials Project, relaxed with GGA-PBE.

```
Rb2H4Pd
1.0
5.935 0.000 0.000
0.000 5.935 0.000
0.000 0.000 8.600
Rb H Pd
4 8 2
direct
0.000 0.500 0.250 Rb
0.000 0.500 0.750 Rb
0.500 0.000 0.250 Rb
0.500 0.000 0.750 Rb
0.000 0.000 0.193 H
0.000 0.000 0.807 H
0.199 0.199 0.000 H
0.301 0.699 0.500 H
0.500 0.500 0.307 H
0.500 0.500 0.693 H
0.699 0.301 0.500 H
0.801 0.801 0.000 H
0.000 0.000 0.000 Pd
0.500 0.500 0.500 Pd
```

Principal peaks in the range 2θ from 10° to 90°, in order of falling intensity:
d 3.003, I 100, (1 1 2); d 4.885, I 54, (1 0 1); d 2.968, I 49, (2 0 0); d 1.720, I 38, (3 1 2); d 1.741, I 20, (2 0 4); d 2.536, I 19, (2 1 1); d 2.098, I 18, (2 2 0); d 1.502, I 12, (2 2 4); d 1.139, I 10, (3 1 6); d 2.150, I 10, (0 0 4)

# 5
This entry pairs a crystal structure of ScH4Pd3 with its simulated PXRD pattern. Radiation: a wavelength of 1.5418 Å. Structure: a crystal structure in the Materials Project, relaxed with GGA-PBE.

```
ScH4Pd3
1.0
4.221 0.000 0.000
0.000 4.221 0.000
0.000 0.000 4.221
Sc H Pd
1 4 3
direct
0.000 0.000 0.000 Sc
0.000 0.000 0.500 H
0.000 0.500 0.000 H
0.500 0.000 0.000 H
0.500 0.500 0.500 H
0.000 0.500 0.500 Pd
0.500 0.000 0.500 Pd
0.500 0.500 0.000 Pd
```

Principal peaks in the range 2θ from 10° to 90°, in order of falling intensity:
d 2.437, I 100, (1 1 1); d 2.110, I 52, (2 0 0); d 1.273, I 37, (3 1 1); d 1.492, I 33, (2 2 0); d 1.218, I 11, (2 2 2); d 4.221, I 9, (1 0 0); d 2.985, I 8, (1 1 0); d 1.888, I 4, (2 1 0); d 1.723, I 3, (2 1 1); d 1.407, I 2, (3 0 0)

# 6
This entry pairs a crystal structure of Ti2H3Pd with its simulated PXRD pattern. Radiation: a wavelength of 1.5418 Å. Structure: a crystal structure in the Materials Project, relaxed with GGA-PBE.

```
Ti2H3Pd
1.0
2.907 0.000 0.000
0.000 2.907 0.000
0.000 0.000 12.948
Ti H Pd
4 6 2
direct
0.000 0.000 0.147 Ti
0.000 0.000 0.853 Ti
0.500 0.500 0.340 Ti
0.500 0.500 0.660 Ti
0.000 0.000 0.363 H
0.000 0.000 0.637 H
0.000 0.500 0.241 H
0.000 0.500 0.759 H
0.500 0.000 0.241 H
0.500 0.000 0.759 H
0.000 0.000 0.500 Pd
0.500 0.500 0.000 Pd
```

Principal peaks in the range 2θ from 10° to 90°, in order of falling intensity:
d 2.411, I 100, (1 0 3); d 6.474, I 37, (0 0 2); d 2.056, I 32, (1 1 0); d 1.245, I 22, (2 1 3); d 1.488, I 19, (1 1 6); d 2.158, I 16, (0 0 6); d 1.934, I 13, (1 0 5); d 2.837, I 12, (1 0 1); d 1.454, I 10, (2 0 0); d 1.289, I 9, (1 0 9)

# 7
This entry pairs a crystal structure of Ti2H4Pd with its simulated PXRD pattern. Radiation: a wavelength of 1.5418 Å. Structure: a crystal structure in the Materials Project, relaxed with GGA-PBE.

```
Ti2H4Pd
1.0
2.939 0.000 0.000
0.000 2.939 0.000
0.000 0.000 13.218
Ti H Pd
4 8 2
direct
0.000 0.000 0.154 Ti
0.000 0.000 0.846 Ti
0.500 0.500 0.346 Ti
0.500 0.500 0.654 Ti
0.000 0.000 0.368 H
0.000 0.000 0.632 H
0.000 0.500 0.250 H
0.000 0.500 0.750 H
0.500 0.000 0.250 H
0.500 0.000 0.750 H
0.500 0.500 0.132 H
0.500 0.500 0.868 H
0.000 0.000 0.500 Pd
0.500 0.500 0.000 Pd
```

Principal peaks in the range 2θ from 10° to 90°, in order of falling intensity:
d 2.445, I 100, (1 0 3); d 6.609, I 35, (0 0 2); d 2.078, I 32, (1 1 0); d 1.259, I 22, (2 1 3); d 1.512, I 20, (1 1 6); d 2.203, I 17, (0 0 6); d 2.869, I 13, (1 0 1); d 1.965, I 12, (1 0 5); d 1.314, I 11, (1 0 9); d 1.469, I 10, (2 0 0)

# 8
This entry pairs a crystal structure of Ti4H3Pd2 with its simulated PXRD pattern. Radiation: a wavelength of 1.5418 Å. Structure: a crystal structure in the Materials Project, relaxed with GGA-PBE.

```
Ti4H3Pd2
1.0
2.857 0.000 0.000
0.000 2.857 0.000
0.000 0.000 12.653
Ti H Pd
4 3 2
direct
0.000 0.000 0.161 Ti
0.000 0.000 0.839 Ti
0.500 0.500 0.327 Ti
0.500 0.500 0.673 Ti
0.500 0.500 0.177 H
0.500 0.500 0.500 H
0.500 0.500 0.823 H
0.000 0.000 0.500 Pd
0.500 0.500 0.000 Pd
```

Principal peaks in the range 2θ from 10° to 90°, in order of falling intensity:
d 2.365, I 100, (1 0 3); d 2.020, I 32, (1 1 0); d 6.326, I 25, (0 0 2); d 1.223, I 22, (2 1 3); d 1.459, I 20, (1 1 6); d 2.109, I 18, (0 0 6); d 2.787, I 15, (1 0 1); d 1.261, I 12, (1 0 9); d 1.183, I 10, (2 0 6); d 1.429, I 10, (2 0 0)

What did the fourth record say?
This entry pairs a crystal structure of Rb2H4Pd with its simulated PXRD pattern. Radiation: a wavelength of 1.5418 Å. Structure: a crystal structure in the Materials Project, relaxed with GGA-PBE.

```
Rb2H4Pd
1.0
5.935 0.000 0.000
0.000 5.935 0.000
0.000 0.000 8.600
Rb H Pd
4 8 2
direct
0.000 0.500 0.250 Rb
0.000 0.500 0.750 Rb
0.500 0.000 0.250 Rb
0.500 0.000 0.750 Rb
0.000 0.000 0.193 H
0.000 0.000 0.807 H
0.199 0.199 0.000 H
0.301 0.699 0.500 H
0.500 0.500 0.307 H
0.500 0.500 0.693 H
0.699 0.301 0.500 H
0.801 0.801 0.000 H
0.000 0.000 0.000 Pd
0.500 0.500 0.500 Pd
```

Principal peaks in the range 2θ from 10° to 90°, in order of falling intensity:
d 3.003, I 100, (1 1 2); d 4.885, I 54, (1 0 1); d 2.968, I 49, (2 0 0); d 1.720, I 38, (3 1 2); d 1.741, I 20, (2 0 4); d 2.536, I 19, (2 1 1); d 2.098, I 18, (2 2 0); d 1.502, I 12, (2 2 4); d 1.139, I 10, (3 1 6); d 2.150, I 10, (0 0 4)